No. 1
Starting from the PBE geometry in Alexandria, the powder diffractogram of La4PrNd3 was simulated for Cu Kα (weighted mean of Kα1 and Kα2).

Principal peaks in the range 5 to 70 degrees two-theta, by angle:
| index | two_theta | d [Å] | I/Imax |
| --- | --- | --- | --- |
| 2 2 0 | 29.49 | 3.029 | 1000 |
| 4 0 0 | 33.98 | 2.639 | 172 |
| 0 2 2 | 34.28 | 2.616 | 336 |
| 4 2 2 | 49.04 | 1.858 | 244 |
| 0 4 0 | 49.26 | 1.850 | 120 |
| 6 2 0 | 58.06 | 1.589 | 147 |
| 2 4 2 | 58.46 | 1.579 | 288 |
| 4 4 0 | 61.19 | 1.515 | 125 |

Crystal structure
Cell: 10.555 7.400 7.398 Å, 90.00 90.00 90.00°
Positions (direct):
1 La 0.000 0.000 0.000
2 La 0.000 0.500 0.500
3 La 0.250 0.250 0.250
4 La 0.250 0.750 0.750
5 La 0.500 0.000 0.500
6 La 0.500 0.500 0.000
7 La 0.750 0.250 0.250
8 La 0.750 0.750 0.750
9 Pr 0.000 0.000 0.500
10 Pr 0.500 0.000 0.000
11 Nd 0.000 0.500 0.000
12 Nd 0.250 0.251 0.750
13 Nd 0.250 0.749 0.250
14 Nd 0.500 0.500 0.500
15 Nd 0.750 0.251 0.750
16 Nd 0.750 0.749 0.250


No. 2
Starting from the PBE geometry in Alexandria, the powder diffractogram of Ga6Ni3Os was simulated for Cu Kα (weighted mean of Kα1 and Kα2).

Principal peaks in the range 5 to 70 degrees two-theta, by angle:
| index | two_theta | d [Å] | I/Imax |
| --- | --- | --- | --- |
| 1 2 -2 | 35.64 | 2.519 | 872 |
| 2 1 -3 | 37.59 | 2.393 | 821 |
| 1 2 1 | 38.57 | 2.334 | 734 |
| 3 0 -2 | 39.99 | 2.254 | 783 |
| 2 2 0 | 43.01 | 2.103 | 1000 |
| 0 3 1 | 44.02 | 2.057 | 768 |
| 0 1 3 | 44.13 | 2.052 | 672 |
| 2 1 1 | 44.76 | 2.025 | 856 |
| 2 2 -3 | 44.92 | 2.018 | 879 |
| 2 1 -4 | 47.78 | 1.904 | 467 |

Crystal structure
Cell: 6.764 6.507 7.961 Å, 90.00 125.43 90.00°
Positions (direct):
1 Ga 0.044 0.082 0.231
2 Ga 0.044 0.418 0.731
3 Ga 0.273 0.727 0.670
4 Ga 0.273 0.773 0.170
5 Ga 0.375 0.111 0.835
6 Ga 0.375 0.389 0.335
7 Ga 0.625 0.611 0.665
8 Ga 0.625 0.889 0.165
9 Ga 0.727 0.227 0.830
10 Ga 0.727 0.273 0.330
11 Ga 0.956 0.582 0.269
12 Ga 0.956 0.918 0.769
13 Ni 0.000 0.000 0.500
14 Ni 0.000 0.500 0.000
15 Ni 0.269 0.146 0.072
16 Ni 0.269 0.354 0.572
17 Ni 0.731 0.646 0.428
18 Ni 0.731 0.854 0.928
19 Os 0.500 0.000 0.500
20 Os 0.500 0.500 0.000